# 1
This entry pairs a crystal structure of Nd2Pu2Ge3 with its simulated XRD peak list. Radiation: CuKα. Structure: the PBE geometry in Alexandria.
Neutral-atom scattering factors, no anomalous dispersion.

Peak list (6 most intense, 10 to 80 degrees two-theta, sorted by position)
23.5°, d = 3.781 Å, I 194; 25.5°, d = 3.488 Å, I 404; 35.0°, d = 2.564 Å, I 1000; 35.6°, d = 2.524 Å, I 242; 37.3°, d = 2.412 Å, I 213; 63.5°, d = 1.465 Å, I 179

Structure:
Cell lengths 8.328, 8.328, 5.049 Å; angles 107.60, 107.60, 33.67 degrees
Atoms (fractional coordinates):
Nd (0.120, 0.120, 0.120)
Nd (0.880, 0.880, 0.880)
Pu (0.370, 0.370, 0.369)
Pu (0.630, 0.630, 0.631)
Ge (0.000, 0.000, 0.500)
Ge (0.254, 0.254, 0.754)
Ge (0.746, 0.746, 0.246)

# 2
This entry pairs a crystal structure of HfZn2Au4 with its simulated XRD peak list. Radiation: CuKα. Structure: the PBE geometry in Alexandria.
Neutral-atom scattering factors, no anomalous dispersion.

Peak list (6 most intense, 10 to 80 degrees two-theta, sorted by position)
27.2°, d = 3.274 Å, I 381; 34.9°, d = 2.570 Å, I 666; 35.5°, d = 2.532 Å, I 1000; 41.8°, d = 2.162 Å, I 288; 42.1°, d = 2.148 Å, I 681; 42.2°, d = 2.140 Å, I 573

Structure:
Cell lengths 6.967, 6.967, 6.967 Å; angles 109.96, 109.96, 108.50 degrees
Atoms (fractional coordinates):
Hf (0.000, 0.000, 0.000)
Hf (0.750, 0.250, 0.500)
Zn (0.232, 0.625, 0.107)
Zn (0.375, 0.482, 0.607)
Zn (0.518, 0.125, 0.893)
Zn (0.875, 0.768, 0.393)
Au (0.134, 0.714, 0.744)
Au (0.139, 0.220, 0.756)
Au (0.286, 0.030, 0.419)
Au (0.464, 0.384, 0.244)
Au (0.611, 0.866, 0.581)
Au (0.616, 0.861, 0.081)
Au (0.780, 0.536, 0.919)
Au (0.970, 0.389, 0.256)

# 3
This entry pairs a crystal structure of CaIn4Hg6 with its simulated XRD peak list. Radiation: CuKα. Structure: the PBE geometry in Alexandria.
Neutral-atom scattering factors, no anomalous dispersion.

Peak list (6 most intense, 10 to 80 degrees two-theta, sorted by position)
30.7°, d = 2.914 Å, I 459; 32.6°, d = 2.743 Å, I 1000; 35.8°, d = 2.509 Å, I 218; 36.5°, d = 2.465 Å, I 631; 47.4°, d = 1.918 Å, I 210; 61.2°, d = 1.514 Å, I 303

Structure:
Cell lengths 3.836, 9.968, 9.968 Å; angles 51.92, 90.00, 90.00 degrees
Atoms (fractional coordinates):
Ca (0.000, 0.000, 0.000)
In (0.000, 0.685, 0.685)
In (0.500, 0.206, 0.206)
In (0.500, 0.232, 0.598)
In (0.500, 0.598, 0.232)
Hg (0.000, 0.059, 0.501)
Hg (0.000, 0.501, 0.059)
Hg (0.000, 0.518, 0.518)
Hg (0.500, 0.337, 0.843)
Hg (0.500, 0.843, 0.337)
Hg (0.500, 0.844, 0.844)